# Sm2ZnAs4
Computed X-ray diffraction stick pattern, Cu Kα (λ = 1.5418 Å). Input: a cell relaxed with PBE.
No peak broadening, texture or thermal motion is included.

Structure:
Cell lengths 3.9457, 3.9457, 10.1742 Å; angles 90.00, 90.00, 90.00 degrees
Space group P-4m2 (No. 115)
Unique sites:
1 Sm 0.0000 0.5000 0.2370 (multiplicity 2)
2 Zn 0.0000 0.0000 0.5000 (multiplicity 1)
3 As 0.0000 0.0000 0.0000 (multiplicity 1)
4 As 0.0000 0.5000 0.6543 (multiplicity 2)
5 As 0.5000 0.5000 0.0000 (multiplicity 1)

Largest 10 diffraction maxima, in order of rising 2θ, 2θ from 10° to 90°:
| h k l | 2theta | intensity |
| --- | --- | --- |
| 1 0 1 | 24.19 | 30 |
| 1 0 2 | 28.63 | 25 |
| 1 0 3 | 34.88 | 38 |
| 0 0 4 | 35.29 | 13 |
| 1 1 2 | 36.74 | 100 |
| 2 0 0 | 46.00 | 37 |
| 1 0 5 | 50.46 | 23 |
| 2 1 3 | 59.01 | 17 |
| 2 1 5 | 70.66 | 16 |
| 3 1 2 | 79.01 | 21 |


# La2Sc
Computed X-ray diffraction stick pattern, Cu Kα (λ = 1.5418 Å). Input: a cell relaxed with PBE.
No peak broadening, texture or thermal motion is included.

Structure:
Cell lengths 5.7655, 3.6252, 18.6655 Å; angles 90.00, 90.00, 90.00 degrees
Space group Amm2 (No. 38)
Unique sites:
1 La 0.0000 0.0000 0.0000 (multiplicity 2)
2 La 0.0000 0.0000 0.3265 (multiplicity 2)
3 La 0.0000 0.0000 0.6633 (multiplicity 2)
4 La 0.5000 0.0000 0.4457 (multiplicity 2)
5 Sc 0.5000 0.0000 0.1170 (multiplicity 2)
6 Sc 0.5000 0.0000 0.7700 (multiplicity 2)

Largest 10 diffraction maxima, in order of rising 2θ, 2θ from 10° to 90°:
| h k l | 2theta | intensity |
| --- | --- | --- |
| 1 0 0 | 15.37 | 15 |
| 0 1 3 | 28.50 | 25 |
| 0 0 6 | 28.70 | 16 |
| 2 0 0 | 31.02 | 35 |
| 1 1 3 | 32.53 | 100 |
| 1 0 6 | 32.71 | 43 |
| 2 1 3 | 42.62 | 17 |
| 0 1 9 | 50.71 | 17 |
| 3 1 3 | 56.15 | 20 |
| 2 1 9 | 60.65 | 19 |


# Na4MgCl6
Computed X-ray diffraction stick pattern, Cu Kα (λ = 1.5418 Å). Input: a cell relaxed with PBE.
No peak broadening, texture or thermal motion is included.

Structure:
Cell lengths 11.4876, 11.4876, 13.6007 Å; angles 90.00, 90.00, 120.00 degrees
Space group R-3c (No. 167, hexagonal axes)
Unique sites:
1 Na 0.0000 0.0000 0.2500 (multiplicity 6)
2 Na 0.0000 0.3620 0.2500 (multiplicity 18)
3 Mg 0.0000 0.0000 0.0000 (multiplicity 6)
4 Cl 0.0392 0.1945 0.3939 (multiplicity 36)

Largest 10 diffraction maxima, in order of rising 2θ, 2θ from 10° to 90°:
| h k l | 2theta | intensity |
| --- | --- | --- |
| 1 1 0 | 15.43 | 15 |
| 2 1 1 | 24.56 | 19 |
| 1 2 2 | 27.10 | 28 |
| 1 0 4 | 27.73 | 17 |
| 1 3 1 | 33.13 | 48 |
| 3 1 2 | 35.10 | 17 |
| 2 1 4 | 35.60 | 62 |
| 2 2 3 | 37.06 | 100 |
| 0 0 6 | 39.77 | 16 |
| 5 1 1 | 51.59 | 16 |